Record 1
# Ce3Pt2Rh
Calculated X-ray diffraction stick pattern, CuKα. Input: a PBE-relaxed structure.
Kinematic intensities with the Lorentz-polarization factor, no thermal factor.

Structural model:
```
Ce3Pt2Rh
1.0
6.8733 -2.8715 0.0000
6.8733 2.8715 0.0000
-1.6578 0.0000 6.9904
Ce Pt Rh
6 4 2
Direct
0.1301 0.8699 0.7500 Ce
0.2228 0.4359 0.3596 Ce
0.4359 0.2228 0.8596 Ce
0.5641 0.7772 0.1404 Ce
0.7772 0.5641 0.6404 Ce
0.8699 0.1301 0.2500 Ce
0.0585 0.2647 0.0143 Pt
0.2647 0.0585 0.5143 Pt
0.7353 0.9415 0.4857 Pt
0.9415 0.7353 0.9857 Pt
0.3768 0.6232 0.2500 Rh
0.6232 0.3768 0.7500 Rh
```

Top 10 peaks for 15° ≤ 2θ ≤ 90°, most intense first:
2theta	I (rel.)
32.5	100
31.5	87
37.5	83
40.5	78
33.7	76
41.5	66
32.6	40
35.2	36
32.0	33
39.5	30

***

Record 2
# Ce2Pt2Rh
Calculated X-ray diffraction stick pattern, CuKα. Input: a PBE-relaxed structure.
Kinematic intensities with the Lorentz-polarization factor, no thermal factor.

Structural model:
```
Ce2Pt2Rh
1.0
7.4617 0.0000 0.0000
0.0000 7.4617 0.0000
0.0000 0.0000 7.6987
Ce Pt Rh
8 8 4
Direct
0.1725 0.3189 0.0000 Ce
0.1811 0.3275 0.5000 Ce
0.3189 0.8275 0.0000 Ce
0.3275 0.8189 0.5000 Ce
0.6725 0.1811 0.5000 Ce
0.6811 0.1725 0.0000 Ce
0.8189 0.6725 0.5000 Ce
0.8275 0.6811 0.0000 Ce
0.1322 0.6322 0.2500 Pt
0.1322 0.6322 0.7500 Pt
0.3678 0.1322 0.2500 Pt
0.3678 0.1322 0.7500 Pt
0.6322 0.8678 0.2500 Pt
0.6322 0.8678 0.7500 Pt
0.8678 0.3678 0.2500 Pt
0.8678 0.3678 0.7500 Pt
0.0000 0.0000 0.2089 Rh
0.0000 0.0000 0.7911 Rh
0.5000 0.5000 0.2911 Rh
0.5000 0.5000 0.7089 Rh
```

Top 10 peaks for 15° ≤ 2θ ≤ 90°, most intense first:
2theta	I (rel.)
35.6	100
38.1	34
33.4	13
62.2	13
47.2	13
72.5	12
16.8	10
56.2	10
80.1	10
43.7	9

***

Record 3
# Ce2PtRh3
Calculated X-ray diffraction stick pattern, CuKα. Input: a PBE-relaxed structure.
Kinematic intensities with the Lorentz-polarization factor, no thermal factor.

Structural model:
```
Ce2PtRh3
1.0
4.6858 -2.1226 0.0000
4.6858 2.1226 0.0000
-0.2272 0.0000 5.7029
Ce Pt Rh
2 1 3
Direct
0.1787 0.1787 0.2426 Ce
0.8213 0.8213 0.7574 Ce
0.5000 0.5000 0.5000 Pt
0.1214 0.1214 0.7493 Rh
0.5000 0.5000 0.0000 Rh
0.8786 0.8786 0.2507 Rh
```

Top 10 peaks for 15° ≤ 2θ ≤ 90°, most intense first:
2theta	I (rel.)
35.7	100
39.6	66
38.9	47
42.6	38
36.2	22
75.6	17
37.6	17
27.7	14
51.5	12
73.5	12

***

Record 4
# CeSiPtRh
Calculated X-ray diffraction stick pattern, CuKα. Input: a PBE-relaxed structure.
Kinematic intensities with the Lorentz-polarization factor, no thermal factor.

Structural model:
```
CeSiPtRh
1.0
3.9979 0.0000 0.0000
0.0000 3.9979 0.0000
0.0000 0.0000 9.5071
Ce Si Pt Rh
2 2 2 2
Direct
0.2500 0.2500 0.2178 Ce
0.7500 0.7500 0.7822 Ce
0.2500 0.2500 0.6366 Si
0.7500 0.7500 0.3634 Si
0.2500 0.2500 0.8936 Pt
0.7500 0.7500 0.1064 Pt
0.2500 0.7500 0.5000 Rh
0.7500 0.2500 0.5000 Rh
```

Top 10 peaks for 15° ≤ 2θ ≤ 90°, most intense first:
2theta	I (rel.)
36.2	100
33.1	97
45.4	62
31.7	50
59.3	48
37.0	38
28.2	31
44.3	23
66.1	20
54.3	20

***

Record 5
# Ce2Si3Pt12Rh
Calculated X-ray diffraction stick pattern, CuKα. Input: a PBE-relaxed structure.
Kinematic intensities with the Lorentz-polarization factor, no thermal factor.

Structural model:
```
Ce2Si3Pt12Rh
1.0
4.1034 2.3691 5.9914
-4.1034 2.3691 5.9914
0.0000 -4.7382 5.9914
Ce Si Pt Rh
2 3 12 1
Direct
0.1154 0.1154 0.1154 Ce
0.8846 0.8846 0.8846 Ce
0.0000 0.5000 0.5000 Si
0.5000 0.0000 0.5000 Si
0.5000 0.5000 0.0000 Si
0.1168 0.6374 0.6374 Pt
0.1408 0.1408 0.6062 Pt
0.1408 0.6062 0.1408 Pt
0.3626 0.3626 0.8832 Pt
0.3626 0.8832 0.3626 Pt
0.3938 0.8592 0.8592 Pt
0.6062 0.1408 0.1408 Pt
0.6374 0.1168 0.6374 Pt
0.6374 0.6374 0.1168 Pt
0.8592 0.3938 0.8592 Pt
0.8592 0.8592 0.3938 Pt
0.8832 0.3626 0.3626 Pt
0.5000 0.5000 0.5000 Rh
```

Top 10 peaks for 15° ≤ 2θ ≤ 90°, most intense first:
2theta	I (rel.)
32.1	100
44.1	55
47.9	43
55.6	20
73.6	16
83.9	15
67.2	15
79.2	12
23.4	12
81.2	8

***

Record 6
# Ce6RuPt2
Calculated X-ray diffraction stick pattern, CuKα. Input: a PBE-relaxed structure.
Kinematic intensities with the Lorentz-polarization factor, no thermal factor.

Structural model:
```
Ce6RuPt2
1.0
4.5247 0.0000 0.0000
0.0000 6.7414 3.6048
0.0000 -6.7414 3.6048
Ce Ru Pt
6 1 2
Direct
0.0000 0.0000 0.0000 Ce
0.0000 0.4282 0.6259 Ce
0.0000 0.6259 0.4282 Ce
0.5000 0.0609 0.6608 Ce
0.5000 0.2651 0.2651 Ce
0.5000 0.6608 0.0609 Ce
0.5000 0.7677 0.7677 Ru
0.0000 0.3458 0.9559 Pt
0.0000 0.9559 0.3458 Pt
```

Top 10 peaks for 15° ≤ 2θ ≤ 90°, most intense first:
2theta	I (rel.)
31.7	100
34.5	77
30.7	57
35.5	55
40.9	53
39.8	51
54.4	33
42.7	25
52.6	22
67.9	20

***

Record 7
# Ce4RuPt2
Calculated X-ray diffraction stick pattern, CuKα. Input: a PBE-relaxed structure.
Kinematic intensities with the Lorentz-polarization factor, no thermal factor.

Structural model:
```
Ce4RuPt2
1.0
-4.4106 4.4106 4.6705
4.4106 -4.4106 4.6705
4.4106 4.4106 -4.6705
Ce Ru Pt
8 2 4
Direct
0.1911 0.2389 0.5478 Ce
0.1911 0.6433 0.9522 Ce
0.2389 0.1911 0.0478 Ce
0.3567 0.8089 0.5478 Ce
0.6433 0.1911 0.4522 Ce
0.7611 0.8089 0.9522 Ce
0.8089 0.3567 0.0478 Ce
0.8089 0.7611 0.4522 Ce
0.1250 0.8750 0.2500 Ru
0.8750 0.1250 0.7500 Ru
0.0000 0.4998 0.4998 Pt
0.5002 0.0000 0.0002 Pt
0.5000 0.5002 0.0002 Pt
0.4998 0.5000 0.4998 Pt
```

Top 10 peaks for 15° ≤ 2θ ≤ 90°, most intense first:
2theta	I (rel.)
28.6	100
30.4	95
40.9	53
38.0	51
47.2	33
36.8	31
60.3	24
48.7	24
42.3	22
51.9	22

***

Record 8
# Ce4SiPt
Calculated X-ray diffraction stick pattern, CuKα. Input: a PBE-relaxed structure.
Kinematic intensities with the Lorentz-polarization factor, no thermal factor.

Structural model:
```
Ce4SiPt
1.0
2.6056 -10.1992 0.0000
2.6056 10.1992 0.0000
0.0000 0.0000 6.1056
Ce Si Pt
8 2 2
Direct
0.0600 0.9400 0.7500 Ce
0.2157 0.7843 0.5233 Ce
0.2157 0.7843 0.9767 Ce
0.3942 0.6058 0.7500 Ce
0.6058 0.3942 0.2500 Ce
0.7843 0.2157 0.0233 Ce
0.7843 0.2157 0.4767 Ce
0.9400 0.0600 0.2500 Ce
0.3441 0.6559 0.2500 Si
0.6559 0.3441 0.7500 Si
0.0831 0.9169 0.2500 Pt
0.9169 0.0831 0.7500 Pt
```

Top 10 peaks for 15° ≤ 2θ ≤ 90°, most intense first:
2theta	I (rel.)
35.3	100
34.4	90
30.6	87
17.6	81
34.2	57
46.7	54
26.2	54
36.6	47
16.9	43
53.3	42

***

Record 9
# Ce3Si2Pt7
Calculated X-ray diffraction stick pattern, CuKα. Input: a PBE-relaxed structure.
Kinematic intensities with the Lorentz-polarization factor, no thermal factor.

Structural model:
```
Ce3Si2Pt7
1.0
-2.0396 2.0396 13.9112
2.0396 -2.0396 13.9112
2.0396 2.0396 -13.9112
Ce Si Pt
3 2 7
Direct
0.0000 0.0000 0.0000 Ce
0.1764 0.1764 0.0000 Ce
0.8236 0.8236 0.0000 Ce
0.3728 0.3728 0.0000 Si
0.6272 0.6272 0.0000 Si
0.0808 0.5808 0.5000 Pt
0.2864 0.2864 0.0000 Pt
0.4192 0.9192 0.5000 Pt
0.5000 0.5000 0.0000 Pt
0.5808 0.0808 0.5000 Pt
0.7136 0.7136 0.0000 Pt
0.9192 0.4192 0.5000 Pt
```

Top 10 peaks for 15° ≤ 2θ ≤ 90°, most intense first:
2theta	I (rel.)
36.7	100
44.4	59
33.6	45
31.7	31
36.5	27
76.7	24
64.6	19
68.9	19
32.2	16
55.9	14

***

Record 10
# Ce2Si6Pt21
Calculated X-ray diffraction stick pattern, CuKα. Input: a PBE-relaxed structure.
Kinematic intensities with the Lorentz-polarization factor, no thermal factor.

Structural model:
```
Ce2Si6Pt21
1.0
0.0000 6.1782 6.1782
6.1782 0.0000 6.1782
6.1782 6.1782 0.0000
Ce Si Pt
2 6 21
Direct
0.2500 0.2500 0.2500 Ce
0.7500 0.7500 0.7500 Ce
0.2358 0.2358 0.7642 Si
0.2358 0.7642 0.2358 Si
0.2358 0.7642 0.7642 Si
0.7642 0.2358 0.2358 Si
0.7642 0.2358 0.7642 Si
0.7642 0.7642 0.2358 Si
0.1155 0.1155 0.1155 Pt
0.1155 0.1155 0.6534 Pt
0.1155 0.6534 0.1155 Pt
0.1540 0.5000 0.5000 Pt
0.1540 0.5000 0.8460 Pt
0.1540 0.8460 0.5000 Pt
0.3466 0.8845 0.8845 Pt
0.5000 0.1540 0.5000 Pt
0.5000 0.1540 0.8460 Pt
0.5000 0.5000 0.1540 Pt
0.5000 0.5000 0.5000 Pt
0.5000 0.5000 0.8460 Pt
0.5000 0.8460 0.1540 Pt
0.5000 0.8460 0.5000 Pt
0.6534 0.1155 0.1155 Pt
0.8460 0.1540 0.5000 Pt
0.8460 0.5000 0.1540 Pt
0.8460 0.5000 0.5000 Pt
0.8845 0.3466 0.8845 Pt
0.8845 0.8845 0.3466 Pt
0.8845 0.8845 0.8845 Pt
```

Top 10 peaks for 15° ≤ 2θ ≤ 90°, most intense first:
2theta	I (rel.)
37.8	100
43.3	29
63.9	25
35.6	21
41.3	21
32.4	18
75.4	16
65.4	15
44.0	13
76.7	10

***

Record 11
# Ce2SiPt3
Calculated X-ray diffraction stick pattern, CuKα. Input: a PBE-relaxed structure.
Kinematic intensities with the Lorentz-polarization factor, no thermal factor.

Structural model:
```
Ce2SiPt3
1.0
3.6534 0.0000 0.0000
0.0000 4.3231 0.0000
0.0000 0.0000 7.8695
Ce Si Pt
2 1 3
Direct
0.0000 0.0000 0.0000 Ce
0.0000 0.5000 0.4859 Ce
0.5000 0.5000 0.8163 Si
0.5000 0.0000 0.3391 Pt
0.5000 0.0000 0.6837 Pt
0.5000 0.5000 0.1229 Pt
```

Top 10 peaks for 15° ≤ 2θ ≤ 90°, most intense first:
2theta	I (rel.)
34.1	100
40.2	51
33.5	36
41.8	27
66.0	24
54.6	19
49.9	16
24.4	15
39.6	15
67.1	14